This entry pairs a crystal structure of Sm6Ga3Ag with its simulated powder X-ray diffraction pattern. Radiation: Cu Kα (λ = 1.5418 Å). Structure: a cell relaxed with GGA-PBE.
Neutral-atom scattering factors, no anomalous dispersion.

Top 6 peaks for 15° ≤ 2θ ≤ 90°, sorted by position:
2θ/deg  intensity
25.66  81
30.83  78
31.06  68
31.63  100
31.78  92
35.76  68

Cell and atoms:
a b c (Å): 7.7132 7.9680 12.0579
angles (deg): 90.00 129.16 90.00
Element x y z (fractional)
Sm  0.0107  0.0997  0.2453
Sm  0.0107  0.4003  0.7453
Sm  0.2205  0.6686  0.0645
Sm  0.2205  0.8314  0.5645
Sm  0.4024  0.1694  0.0693
Sm  0.4024  0.3306  0.5693
Sm  0.5976  0.6694  0.4307
Sm  0.5976  0.8306  0.9307
Sm  0.7795  0.1686  0.4355
Sm  0.7795  0.3314  0.9355
Sm  0.9893  0.5997  0.2547
Sm  0.9893  0.9003  0.7547
Ga  0.0000  0.0000  0.0000
Ga  0.0000  0.5000  0.5000
Ga  0.3037  0.1372  0.7521
Ga  0.3037  0.3628  0.2521
Ga  0.6963  0.6372  0.7479
Ga  0.6963  0.8628  0.2479
Ag  0.5000  0.0000  0.5000
Ag  0.5000  0.5000  0.0000